This entry pairs a crystal structure of Dy12ZnNi6 with its computed PXRD pattern. Radiation: λ = 1.5418 Å (Cu Kα). Structure: the PBE geometry in Alexandria.

Principal peaks in the range 2θ = 15–90°, low angle first:
two_theta, intensity, hkl
29.30, 413, 3 0 1
32.16, 382, 2 2 2
34.82, 1000, 3 1 2
37.31, 147, 4 0 0
48.13, 175, 5 0 1
55.59, 361, 5 3 0
59.07, 340, 5 2 3
68.87, 168, 5 3 4
85.46, 145, 8 2 2
86.93, 167, 7 0 5

Cell and atoms:
```
data_Dy12ZnNi6
_space_group_name_H-M_alt 'I m -3'
_space_group_IT_number 204
_space_group_name_Hall '-I 2 2 3'
_cell_length_a 9.641
_cell_length_b 9.641
_cell_length_c 9.641
_cell_angle_alpha 90.00
_cell_angle_beta 90.00
_cell_angle_gamma 90.00
loop_
_atom_site_label
_atom_site_fract_x
_atom_site_fract_y
_atom_site_fract_z
Dy1 0.000 0.301 0.186
Zn1 0.000 0.000 0.000
Ni1 0.000 0.124 0.500
```